For Pa2Tl2CrS6, a PBE-relaxed structure gives the simulated PXRD pattern in this record (Cu Kα (λ = 1.5418 Å)).
Peak positions follow from Bragg's law for the DFT cell and can differ from measured ones.

Structure:
Cell: 6.735 11.765 7.960 Å, 90.00 105.72 90.00°
Space group C2/m (No. 12)
Inequivalent atoms, fractional coordinates:
1 Pa 0.000 0.165 0.000 (multiplicity 4)
2 Tl 0.000 0.338 0.500 (multiplicity 4)
3 Cr 0.000 0.500 0.000 (multiplicity 2)
4 S 0.228 0.332 0.192 (multiplicity 8)
5 S 0.240 0.000 0.186 (multiplicity 4)

Largest 12 diffraction maxima, by intensity, 15 to 90 degrees two-theta:
30.55 deg, I 1000
27.49 deg, I 823
17.09 deg, I 493
30.93 deg, I 480
23.22 deg, I 471
41.31 deg, I 383
46.62 deg, I 320
21.58 deg, I 288
15.06 deg, I 265
52.45 deg, I 225
41.06 deg, I 198
56.72 deg, I 184